# 1
Structure and calculated X-ray powder pattern of CsTcB2 (a cell relaxed with GGA-PBE; Cu Kα, 1.54184 Å).

Cell and atoms:
```
8
Lattice="-3.264 3.264 4.624 3.264 -3.264 4.624 3.264 3.264 -4.624" Properties=species:S:1:pos:R:3 pbc="T T T"
Cs 3.264 1.632 1.156
Cs 0.000 1.632 3.468
Tc 3.264 -1.632 3.468
Tc 0.000 4.896 1.156
B 0.000 0.000 0.000
B 1.632 1.632 -2.312
B 1.632 -1.632 2.312
B 0.000 3.264 0.000
```

Peak list (10 most intense, 2θ from 15° to 90°, by angle)
2θ 27.31, I 100.0; 2θ 32.14, I 2.0; 2θ 39.00, I 16.5; 2θ 48.27, I 40.7; 2θ 56.34, I 14.3; 2θ 63.70, I 11.7; 2θ 63.75, I 5.9; 2θ 70.65, I 3.8; 2θ 77.30, I 20.1; 2θ 83.83, I 1.5


# 2
Structure and calculated X-ray powder pattern of CsTiB (a cell relaxed with GGA-PBE; Cu Kα, 1.54184 Å).

Cell and atoms:
```
6
Lattice="3.716 0.000 0.000 -1.856 4.077 0.000 -1.075 -1.691 12.131" Properties=species:S:1:pos:R:3 pbc="T T T"
Cs 0.000 0.000 0.000
Cs 0.010 -0.004 6.945
Ti 0.006 -0.386 3.464
Ti 1.867 1.417 3.479
B 0.008 2.545 2.603
B 0.008 2.562 4.341
```

Peak list (10 most intense, 2θ from 15° to 90°, by angle)
2θ 21.99, I 100.0; 2θ 24.17, I 33.6; 2θ 24.74, I 42.5; 2θ 26.37, I 45.5; 2θ 26.61, I 39.2; 2θ 28.61, I 46.9; 2θ 29.45, I 28.3; 2θ 29.97, I 23.3; 2θ 37.11, I 25.4; 2θ 41.18, I 38.3


# 3
Structure and calculated X-ray powder pattern of CsBW3 (a cell relaxed with GGA-PBE; Cu Kα, 1.54184 Å).

Cell and atoms:
```
5
Lattice="4.441 0.000 0.000 0.000 4.441 0.000 0.000 0.000 4.441" Properties=species:S:1:pos:R:3 pbc="T T T"
Cs 0.000 0.000 0.000
B 2.221 2.221 2.221
W 0.000 2.221 2.221
W 2.221 0.000 2.221
W 2.221 2.221 0.000
```

Peak list (10 most intense, 2θ from 15° to 90°, by angle)
2θ 19.99, I 2.4; 2θ 28.42, I 1.0; 2θ 35.00, I 100.0; 2θ 40.63, I 52.2; 2θ 45.68, I 1.2; 2θ 58.81, I 35.5; 2θ 62.77, I 0.6; 2θ 70.30, I 40.3; 2θ 73.93, I 12.1; 2θ 87.95, I 6.0


What did the first record say?
Structure and calculated X-ray powder pattern of CsTcB2 (a cell relaxed with GGA-PBE; Cu Kα, 1.54184 Å).

Cell and atoms:
```
8
Lattice="-3.264 3.264 4.624 3.264 -3.264 4.624 3.264 3.264 -4.624" Properties=species:S:1:pos:R:3 pbc="T T T"
Cs 3.264 1.632 1.156
Cs 0.000 1.632 3.468
Tc 3.264 -1.632 3.468
Tc 0.000 4.896 1.156
B 0.000 0.000 0.000
B 1.632 1.632 -2.312
B 1.632 -1.632 2.312
B 0.000 3.264 0.000
```

Peak list (10 most intense, 2θ from 15° to 90°, by angle)
2θ 27.31, I 100.0; 2θ 32.14, I 2.0; 2θ 39.00, I 16.5; 2θ 48.27, I 40.7; 2θ 56.34, I 14.3; 2θ 63.70, I 11.7; 2θ 63.75, I 5.9; 2θ 70.65, I 3.8; 2θ 77.30, I 20.1; 2θ 83.83, I 1.5


Please write out number 2 again, unchanged.
Structure and calculated X-ray powder pattern of CsTiB (a cell relaxed with GGA-PBE; Cu Kα, 1.54184 Å).

Cell and atoms:
```
6
Lattice="3.716 0.000 0.000 -1.856 4.077 0.000 -1.075 -1.691 12.131" Properties=species:S:1:pos:R:3 pbc="T T T"
Cs 0.000 0.000 0.000
Cs 0.010 -0.004 6.945
Ti 0.006 -0.386 3.464
Ti 1.867 1.417 3.479
B 0.008 2.545 2.603
B 0.008 2.562 4.341
```

Peak list (10 most intense, 2θ from 15° to 90°, by angle)
2θ 21.99, I 100.0; 2θ 24.17, I 33.6; 2θ 24.74, I 42.5; 2θ 26.37, I 45.5; 2θ 26.61, I 39.2; 2θ 28.61, I 46.9; 2θ 29.45, I 28.3; 2θ 29.97, I 23.3; 2θ 37.11, I 25.4; 2θ 41.18, I 38.3


Copy entry 2 word for word.
Structure and calculated X-ray powder pattern of CsTiB (a cell relaxed with GGA-PBE; Cu Kα, 1.54184 Å).

Cell and atoms:
```
6
Lattice="3.716 0.000 0.000 -1.856 4.077 0.000 -1.075 -1.691 12.131" Properties=species:S:1:pos:R:3 pbc="T T T"
Cs 0.000 0.000 0.000
Cs 0.010 -0.004 6.945
Ti 0.006 -0.386 3.464
Ti 1.867 1.417 3.479
B 0.008 2.545 2.603
B 0.008 2.562 4.341
```

Peak list (10 most intense, 2θ from 15° to 90°, by angle)
2θ 21.99, I 100.0; 2θ 24.17, I 33.6; 2θ 24.74, I 42.5; 2θ 26.37, I 45.5; 2θ 26.61, I 39.2; 2θ 28.61, I 46.9; 2θ 29.45, I 28.3; 2θ 29.97, I 23.3; 2θ 37.11, I 25.4; 2θ 41.18, I 38.3